1.
Computed powder diffractogram
Compound: MgV6O5F19
Radiation: copper Kα
Structure: the PBE+U geometry in the Materials Project
Lines closer than 0.1° are merged.

Structural model:
```
data_MgV6O5F19
_cell_length_a 5.374
_cell_length_b 5.451
_cell_length_c 15.518
_cell_angle_alpha 100.11
_cell_angle_beta 90.03
_cell_angle_gamma 91.22
_symmetry_space_group_name_H-M 'P 1'
_symmetry_Int_Tables_number 1
_symmetry_space_group_name_Hall 'P 1'
loop_
_atom_site_label
_atom_site_fract_x
_atom_site_fract_y
_atom_site_fract_z
_atom_site_occupancy
Mg1 0.000 0.000 0.000 1
V1 0.237 0.652 0.810 1
V2 0.252 0.354 0.166 1
V3 0.281 0.952 0.493 1
V4 0.674 0.170 0.818 1
V5 0.724 0.819 0.164 1
V6 0.773 0.440 0.483 1
O1 0.450 0.613 0.166 1
O2 0.463 0.942 0.830 1
O3 0.505 0.434 0.836 1
O4 0.505 0.783 0.517 1
O5 0.941 0.196 0.459 1
F1 0.009 0.375 0.807 1
F2 0.022 0.033 0.135 1
F3 0.026 0.688 0.463 1
F4 0.135 0.049 0.595 1
F5 0.147 0.353 0.274 1
F6 0.177 0.726 0.936 1
F7 0.269 0.243 0.040 1
F8 0.306 0.596 0.698 1
F9 0.316 0.945 0.379 1
F10 0.465 0.271 0.511 1
F11 0.521 0.118 0.179 1
F12 0.639 0.466 0.380 1
F13 0.691 0.113 0.702 1
F14 0.708 0.807 0.042 1
F15 0.809 0.197 0.935 1
F16 0.822 0.539 0.596 1
F17 0.822 0.886 0.273 1
F18 0.944 0.533 0.141 1
F19 0.965 0.864 0.804 1
```

Peak list (6 most intense, 2θ from 10° to 80°, by angle)
- 2θ 17.4, I = 100
- 2θ 24.6, I = 97
- 2θ 25.1, I = 95
- 2θ 35.2, I = 19
- 2θ 47.0, I = 16
- 2θ 48.1, I = 19


2.
Computed powder diffractogram
Compound: MgV4O7F5
Radiation: copper Kα
Structure: the PBE+U geometry in the Materials Project
Lines closer than 0.1° are merged.

Structural model:
```
data_MgV4O7F5
_cell_length_a 5.144
_cell_length_b 5.337
_cell_length_c 7.693
_cell_angle_alpha 93.40
_cell_angle_beta 90.99
_cell_angle_gamma 93.46
_symmetry_space_group_name_H-M 'P 1'
_symmetry_Int_Tables_number 1
_symmetry_space_group_name_Hall 'P 1'
loop_
_atom_site_label
_atom_site_fract_x
_atom_site_fract_y
_atom_site_fract_z
_atom_site_occupancy
Mg1 0.000 0.000 0.000 1
V1 0.050 0.395 0.755 1
V2 0.507 0.958 0.278 1
V3 0.516 0.925 0.751 1
V4 0.987 0.457 0.273 1
O1 0.236 0.142 0.717 1
O2 0.240 0.685 0.303 1
O3 0.320 0.645 0.722 1
O4 0.328 0.201 0.319 1
O5 0.743 0.630 0.214 1
O6 0.756 0.175 0.827 1
O7 0.839 0.129 0.215 1
F1 0.131 0.394 0.015 1
F2 0.379 0.927 0.015 1
F3 0.647 0.922 0.516 1
F4 0.845 0.709 0.842 1
F5 0.905 0.431 0.518 1
```

Peak list (6 most intense, 2θ from 10° to 80°, by angle)
- 2θ 23.2, I = 91
- 2θ 23.3, I = 100
- 2θ 24.8, I = 98
- 2θ 32.6, I = 29
- 2θ 47.4, I = 29
- 2θ 52.8, I = 29